Calculated X-ray powder pattern
Compound: MgZn2
Radiation: Cu Kα, 1.54184 Å
Structure: a crystal structure in the Materials Project, relaxed with GGA-PBE
Peak positions follow from Bragg's law for the DFT cell and can differ from measured ones.

Cell and atoms:
Cell: 2.9479 2.9479 13.8510 Å, 90.00 90.00 120.00°
Space group P-6m2 (No. 187)
Inequivalent atoms, fractional coordinates:
Mg1 0.0000 0.0000 0.1712
Zn1 0.0000 0.0000 0.5000
Zn2 0.6667 0.3333 0.0000
Zn3 0.6667 0.3333 0.3437

The 10 most intense peaks (2θ from 5° to 70°), by angle:
- 6.38°, I = 39
- 12.78°, I = 11
- 19.22°, I = 10
- 35.15°, I = 30
- 39.02°, I = 23
- 40.37°, I = 100
- 44.07°, I = 4
- 48.49°, I = 3
- 53.52°, I = 16
- 63.07°, I = 17

***

Calculated X-ray powder pattern
Compound: NaGa3
Radiation: Cu Kα, 1.54184 Å
Structure: a crystal structure in the Materials Project, relaxed with GGA-PBE
Peak positions follow from Bragg's law for the DFT cell and can differ from measured ones.

Cell and atoms:
Cell: 4.275 4.275 4.275 Å, 90.00 90.00 90.00°
Space group Pm-3m (No. 221)
Inequivalent atoms, fractional coordinates:
Na1 0.000 0.000 0.000
Ga1 0.000 0.500 0.500

The 9 most intense peaks (2θ from 5° to 70°), by angle:
- 20.78°, I = 12
- 29.55°, I = 10
- 36.40°, I = 100
- 42.28°, I = 49
- 47.56°, I = 6
- 52.42°, I = 4
- 61.33°, I = 31
- 65.50°, I = 3
- 69.53°, I = 2

***

Calculated X-ray powder pattern
Compound: Li4Be3As3BrO12
Radiation: Cu Kα, 1.54184 Å
Structure: a crystal structure in the Materials Project, relaxed with GGA-PBE
Peak positions follow from Bragg's law for the DFT cell and can differ from measured ones.

Cell and atoms:
Cell: 8.414 8.414 8.414 Å, 90.00 90.00 90.00°
Space group P-43n (No. 218)
Inequivalent atoms, fractional coordinates:
Li1 0.180 0.180 0.180
Be1 0.000 0.250 0.500
As1 0.000 0.500 0.250
Br1 0.000 0.000 0.000
O1 0.090 0.356 0.637

The 10 most intense peaks (2θ from 5° to 70°), by angle:
- 21.12°, I = 27
- 23.65°, I = 61
- 25.94°, I = 100
- 37.01°, I = 19
- 38.58°, I = 19
- 40.10°, I = 37
- 49.65°, I = 19
- 59.13°, I = 16
- 62.44°, I = 21
- 68.78°, I = 14

***

Calculated X-ray powder pattern
Compound: LiTm2Ru
Radiation: Cu Kα, 1.54184 Å
Structure: a crystal structure in the Materials Project, relaxed with GGA-PBE
Peak positions follow from Bragg's law for the DFT cell and can differ from measured ones.

Cell and atoms:
Cell: 6.848 6.848 6.848 Å, 90.00 90.00 90.00°
Space group Fm-3m (No. 225)
Inequivalent atoms, fractional coordinates:
Li1 0.000 0.000 0.000
Tm1 0.250 0.250 0.250
Ru1 0.000 0.000 0.500

The 9 most intense peaks (2θ from 5° to 70°), by angle:
- 22.49°, I = 12
- 26.02°, I = 33
- 37.13°, I = 100
- 43.85°, I = 6
- 45.90°, I = 10
- 53.52°, I = 17
- 58.77°, I = 2
- 60.46°, I = 13
- 66.94°, I = 36

***

Calculated X-ray powder pattern
Compound: FeNiPt2
Radiation: Cu Kα, 1.54184 Å
Structure: a crystal structure in the Materials Project, relaxed with GGA-PBE
Peak positions follow from Bragg's law for the DFT cell and can differ from measured ones.

Cell and atoms:
Cell: 3.872 3.872 3.686 Å, 90.00 90.00 90.00°
Space group P4/mmm (No. 123)
Inequivalent atoms, fractional coordinates:
Fe1 0.000 0.000 0.000
Ni1 0.500 0.500 0.000
Pt1 0.000 0.500 0.500

The 8 most intense peaks (2θ from 5° to 70°), by angle:
- 24.15°, I = 25
- 32.71°, I = 24
- 41.07°, I = 100
- 46.94°, I = 34
- 49.46°, I = 15
- 53.47°, I = 13
- 60.57°, I = 9
- 68.56°, I = 11

***

Calculated X-ray powder pattern
Compound: Ba2ThCrTe7
Radiation: Cu Kα, 1.54184 Å
Structure: a crystal structure in the Materials Project, relaxed with GGA-PBE
Peak positions follow from Bragg's law for the DFT cell and can differ from measured ones.

Cell and atoms:
Cell: 12.806 6.263 19.108 Å, 90.00 90.00 90.00°
Space group Pnma (No. 62)
Inequivalent atoms, fractional coordinates:
Ba1 0.053 0.250 0.224
Ba2 0.178 0.250 0.556
Th1 0.208 0.250 0.875
Cr1 0.000 0.000 0.000
Te1 0.042 0.750 0.118
Te2 0.075 0.502 0.398
Te3 0.137 0.750 0.915
Te4 0.171 0.250 0.041
Te5 0.193 0.003 0.729

The 10 most intense peaks (2θ from 5° to 70°), by angle:
- 11.56°, I = 38
- 19.86°, I = 53
- 28.02°, I = 42
- 28.26°, I = 100
- 28.89°, I = 80
- 29.74°, I = 39
- 31.53°, I = 37
- 33.20°, I = 57
- 34.87°, I = 68
- 36.82°, I = 38

***

What did the fifth record say?
Calculated X-ray powder pattern
Compound: FeNiPt2
Radiation: Cu Kα, 1.54184 Å
Structure: a crystal structure in the Materials Project, relaxed with GGA-PBE
Peak positions follow from Bragg's law for the DFT cell and can differ from measured ones.

Cell and atoms:
Cell: 3.872 3.872 3.686 Å, 90.00 90.00 90.00°
Space group P4/mmm (No. 123)
Inequivalent atoms, fractional coordinates:
Fe1 0.000 0.000 0.000
Ni1 0.500 0.500 0.000
Pt1 0.000 0.500 0.500

The 8 most intense peaks (2θ from 5° to 70°), by angle:
- 24.15°, I = 25
- 32.71°, I = 24
- 41.07°, I = 100
- 46.94°, I = 34
- 49.46°, I = 15
- 53.47°, I = 13
- 60.57°, I = 9
- 68.56°, I = 11